Starting from a DFT-relaxed cell (PBE+U, the Materials Project), the powder diffraction line list of NiRh2O4 was calculated for Cu Kα.
Lines closer than 0.1° are merged.

Peak list (10 most intense, 2θ from 10° to 90°, low angle first)
| 2θ (°) | intensity |
| --- | --- |
| 17.87 | 51 |
| 29.09 | 15 |
| 33.60 | 48 |
| 35.09 | 100 |
| 36.19 | 42 |
| 42.86 | 26 |
| 53.47 | 17 |
| 56.54 | 26 |
| 60.31 | 44 |
| 62.22 | 21 |

Crystal structure
Cell: 6.149 6.149 6.149 Å, 121.94 121.94 86.67°
Fractional coordinates of all 14 atoms:
Ni: 0.375 0.625 0.750
Ni: 0.625 0.375 0.250
Rh: 0.000 0.000 0.000
Rh: 0.000 0.000 0.500
Rh: 0.000 0.500 0.000
Rh: 0.500 0.000 0.500
O: 0.222 0.231 0.990
O: 0.231 0.222 0.490
O: 0.231 0.741 0.010
O: 0.259 0.769 0.490
O: 0.741 0.231 0.510
O: 0.769 0.259 0.990
O: 0.769 0.778 0.510
O: 0.778 0.769 0.010